This entry pairs a crystal structure of ZnNi10P3 with its calculated powder diffraction line list. Radiation: Cu Kα (λ = 1.5418 Å). Structure: a DFT-relaxed cell (GGA-PBE, Alexandria).
Kinematic intensities with the Lorentz-polarization factor, no thermal factor.

The 6 most intense peaks (2θ = 10–90°), by angle:
2theta	I/Imax
36.45	335
42.62	1000
46.61	372
48.88	508
55.28	253
86.50	221

Atomic structure:
Cell: 7.7948 7.7948 7.7948 Å, 60.00 60.00 60.00°
Fractional positions:
Zn: 0.2500 0.2500 0.2500
Zn: 0.7500 0.7500 0.7500
Ni: 0.0000 0.0000 0.3475
Ni: 0.0000 0.0000 0.6525
Ni: 0.0000 0.3475 0.0000
Ni: 0.0000 0.3475 0.6525
Ni: 0.0000 0.6525 0.0000
Ni: 0.0000 0.6525 0.3475
Ni: 0.1446 0.6185 0.6185
Ni: 0.3475 0.0000 0.0000
Ni: 0.3475 0.0000 0.6525
Ni: 0.3475 0.6525 0.0000
Ni: 0.3815 0.3815 0.3815
Ni: 0.3815 0.3815 0.8554
Ni: 0.3815 0.8554 0.3815
Ni: 0.6185 0.1446 0.6185
Ni: 0.6185 0.6185 0.1446
Ni: 0.6185 0.6185 0.6185
Ni: 0.6525 0.0000 0.0000
Ni: 0.6525 0.0000 0.3475
Ni: 0.6525 0.3475 0.0000
Ni: 0.8554 0.3815 0.3815
P: 0.2644 0.2644 0.7356
P: 0.2644 0.7356 0.2644
P: 0.2644 0.7356 0.7356
P: 0.7356 0.2644 0.2644
P: 0.7356 0.2644 0.7356
P: 0.7356 0.7356 0.2644

---

This entry pairs a crystal structure of Zn2Ni5P3 with its calculated powder diffraction line list. Radiation: Cu Kα (λ = 1.5418 Å). Structure: a DFT-relaxed cell (GGA-PBE, Alexandria).
Kinematic intensities with the Lorentz-polarization factor, no thermal factor.

The 6 most intense peaks (2θ = 10–90°), by angle:
2theta	I/Imax
32.14	330
41.52	943
42.50	791
42.67	909
44.67	1000
46.03	678

Atomic structure:
Cell: 7.0818 7.0818 5.1355 Å, 93.34 93.34 103.70°
Fractional positions:
Zn: 0.1178 0.6615 0.9283
Zn: 0.3385 0.8822 0.5717
Zn: 0.6615 0.1178 0.4283
Zn: 0.8822 0.3385 0.0717
Ni: 0.0228 0.9772 0.7500
Ni: 0.1692 0.5376 0.3693
Ni: 0.2486 0.3305 0.9318
Ni: 0.3305 0.2486 0.4318
Ni: 0.4624 0.8308 0.1307
Ni: 0.5376 0.1692 0.8693
Ni: 0.6695 0.7514 0.5682
Ni: 0.7514 0.6695 0.0682
Ni: 0.8308 0.4624 0.6307
Ni: 0.9772 0.0228 0.2500
P: 0.0314 0.2690 0.5682
P: 0.2690 0.0314 0.0682
P: 0.4680 0.5320 0.2500
P: 0.5320 0.4680 0.7500
P: 0.7310 0.9686 0.9318
P: 0.9686 0.7310 0.4318